Structure and calculated powder XRD pattern of Ac2La7Pm4 (a crystal structure in Alexandria, relaxed with PBE; Cu Kα (weighted mean of Kα1 and Kα2)).
Intensities are scaled so that the largest is 100.

Structure:
Lattice parameters (Å, degrees): 7.7603 8.3501 8.8322 96.87 115.39 103.83
Space group P-1 (No. 2)
Asymmetric unit:
Ac1 0.1224 0.3124 0.0985 [2 per cell]
La1 0.1555 0.6776 0.4609 [2 per cell]
La2 0.3470 0.6037 0.8991 [2 per cell]
La3 0.3596 0.9890 0.2792 [2 per cell]
La4 0.5000 0.0000 0.0000 [1 per cell]
Pm1 0.0949 0.0228 0.7181 [2 per cell]
Pm2 0.3837 0.3239 0.5895 [2 per cell]

Main lines, by angle (2θ from 5° to 70°):
| 2θ (°) | I (rel.) | (hkl) |
| --- | --- | --- |
| 28.0 | 96 | 0 2 -2 |
| 28.2 | 99 | 0 1 2 |
| 28.6 | 100 | -2 2 1 |
| 28.7 | 98 | 2 1 -1 |
| 32.0 | 97 | 2 -1 1 |
| 32.4 | 95 | 2 0 -3 |
| 34.3 | 72 | 0 3 0 |
| 46.8 | 43 | -4 1 2 |
| 47.8 | 48 | 2 2 1 |
| 47.9 | 28 | -2 3 3 |



Structure and calculated powder XRD pattern of AcZnPd3 (a crystal structure in Alexandria, relaxed with PBE; Cu Kα (weighted mean of Kα1 and Kα2)).
Intensities are scaled so that the largest is 100.

Structure:
Lattice parameters (Å, degrees): 6.2201 6.2201 12.5368 90.00 90.00 120.00
Space group P6_3/mmc (No. 194)
Asymmetric unit:
Ac1 0.0000 0.0000 0.0000 [2 per cell]
Ac2 0.3333 0.6667 0.2500 [2 per cell]
Zn1 0.3333 0.6667 0.6378 [4 per cell]
Pd1 0.0000 0.5000 0.0000 [6 per cell]
Pd2 0.1427 0.2854 0.7500 [6 per cell]

Main lines, by angle (2θ from 5° to 70°):
| 2θ (°) | I (rel.) | (hkl) |
| --- | --- | --- |
| 28.5 | 44 | 0 0 4 |
| 28.7 | 21 | 1 1 0 |
| 34.0 | 23 | 2 0 1 |
| 36.3 | 100 | 2 0 2 |
| 39.8 | 31 | 2 0 3 |
| 46.9 | 13 | 2 1 2 |
| 49.7 | 20 | 2 0 5 |
| 55.7 | 27 | 2 0 6 |
| 59.4 | 24 | 2 2 0 |
| 67.2 | 19 | 2 2 4 |



Structure and calculated powder XRD pattern of ThGaHgI6 (a crystal structure in Alexandria, relaxed with PBE; Cu Kα (weighted mean of Kα1 and Kα2)).
Intensities are scaled so that the largest is 100.

Structure:
Lattice parameters (Å, degrees): 8.0057 8.0057 14.6805 90.00 90.00 120.00
Space group P-31c (No. 163)
Asymmetric unit:
Th1 0.3333 0.6667 0.2500 [2 per cell]
Ga1 0.3333 0.6667 0.7500 [2 per cell]
Hg1 0.0000 0.0000 0.0000 [2 per cell]
I1 0.0116 0.3551 0.1300 [12 per cell]

Main lines, by angle (2θ from 5° to 70°):
| 2θ (°) | I (rel.) | (hkl) |
| --- | --- | --- |
| 17.6 | 68 | 1 0 2 |
| 25.3 | 100 | 1 1 2 |
| 28.5 | 21 | 2 0 2 |
| 33.1 | 91 | 1 1 4 |
| 36.4 | 25 | 2 1 2 |
| 39.0 | 69 | 3 0 0 |
| 43.3 | 24 | 2 -1 6 |
| 52.0 | 24 | 4 -2 4 |
| 64.9 | 27 | 3 0 8 |
| 66.9 | 23 | 4 1 4 |